For Na2MnBPO7, a structure optimized by DFT (GGA+U) gives the theoretical X-ray powder pattern in this record (CuKα).
Intensities are scaled so that the largest is 1000.

Structural model:
a = 5.369 Å, b = 6.379 Å, c = 9.207 Å
α = 90.00°, β = 93.18°, γ = 90.00°
Space group P2_1/m (No. 11)
Symmetry-distinct sites (fractional):
Na 0.240 0.004 0.281 (multiplicity 4)
Mn 0.217 0.250 0.847 (multiplicity 2)
B 0.270 0.250 0.587 (multiplicity 2)
P 0.275 0.750 0.935 (multiplicity 2)
O 0.042 0.250 0.656 (multiplicity 2)
O 0.135 0.750 0.076 (multiplicity 2)
O 0.198 0.558 0.838 (multiplicity 4)
O 0.303 0.250 0.447 (multiplicity 2)
O 0.437 0.250 0.032 (multiplicity 2)
O 0.459 0.250 0.701 (multiplicity 2)

Most intense lines, 15 to 90 degrees two-theta, by angle:
| 2θ (°) | d/Å | I (rel.) |
| --- | --- | --- |
| 16.9 | 5.241 | 1000 |
| 24.1 | 3.689 | 347 |
| 24.8 | 3.589 | 946 |
| 26.2 | 3.397 | 359 |
| 28.0 | 3.189 | 509 |
| 33.4 | 2.680 | 509 |
| 33.9 | 2.647 | 411 |
| 34.2 | 2.620 | 321 |
| 34.4 | 2.608 | 423 |
| 43.7 | 2.072 | 406 |